Record 1
Theoretical PXRD pattern of SrTe2IF for copper Kα, from a PBE-relaxed structure.
No peak broadening, texture or thermal motion is included.

Structural model:
a = 4.814 Å, b = 4.814 Å, c = 6.554 Å
α = 90.00°, β = 90.00°, γ = 90.00°
Space group P4/mmm (No. 123)
Unique sites:
1 Sr 0.000 0.000 0.000 (multiplicity 1)
2 Te 0.000 0.500 0.500 (multiplicity 2)
3 I 0.500 0.500 0.000 (multiplicity 1)
4 F 0.500 0.500 0.500 (multiplicity 1)

Peak list (10 most intense, 10° ≤ 2θ ≤ 90°, low angle first)
| 2θ/deg | d/Å | I/Imax |
| --- | --- | --- |
| 27.21 | 3.277 | 371 |
| 29.57 | 3.021 | 1000 |
| 37.36 | 2.407 | 316 |
| 46.83 | 1.940 | 328 |
| 49.58 | 1.839 | 237 |
| 53.86 | 1.702 | 108 |
| 61.38 | 1.510 | 144 |
| 62.65 | 1.483 | 235 |
| 69.39 | 1.354 | 99 |
| 76.23 | 1.249 | 133 |

Record 2
Theoretical PXRD pattern of CrGa7P8 for copper Kα, from a PBE-relaxed structure.
No peak broadening, texture or thermal motion is included.

Structural model:
a = 5.497 Å, b = 5.497 Å, c = 10.963 Å
α = 90.00°, β = 90.00°, γ = 90.00°
Space group P-42m (No. 111)
Unique sites:
1 Cr 0.000 0.000 0.000 (multiplicity 1)
2 Ga 0.000 0.000 0.500 (multiplicity 1)
3 Ga 0.000 0.500 0.249 (multiplicity 4)
4 Ga 0.500 0.500 0.000 (multiplicity 1)
5 Ga 0.500 0.500 0.500 (multiplicity 1)
6 P 0.247 0.247 0.122 (multiplicity 4)
7 P 0.250 0.250 0.625 (multiplicity 4)

Peak list (10 most intense, 10° ≤ 2θ ≤ 90°, low angle first)
| 2θ/deg | d/Å | I/Imax |
| --- | --- | --- |
| 28.14 | 3.171 | 1000 |
| 32.61 | 2.746 | 136 |
| 46.79 | 1.942 | 608 |
| 55.45 | 1.657 | 280 |
| 55.58 | 1.654 | 139 |
| 68.25 | 1.374 | 63 |
| 75.38 | 1.261 | 54 |
| 75.48 | 1.259 | 108 |
| 86.84 | 1.122 | 131 |
| 87.00 | 1.120 | 65 |

Record 3
Theoretical PXRD pattern of TbPrSm2Dy5 for copper Kα, from a PBE-relaxed structure.
No peak broadening, texture or thermal motion is included.

Structural model:
a = 8.787 Å, b = 8.787 Å, c = 15.338 Å
α = 90.00°, β = 90.00°, γ = 90.00°
Space group I4/mcm (No. 140)
Unique sites:
1 Tb 0.000 0.500 0.250 (multiplicity 4)
2 Pr 0.000 0.000 0.250 (multiplicity 4)
3 Sm 0.116 0.384 0.000 (multiplicity 8)
4 Dy 0.000 0.000 0.000 (multiplicity 4)
5 Dy 0.208 0.292 0.364 (multiplicity 16)

Peak list (10 most intense, 10° ≤ 2θ ≤ 90°, low angle first)
| 2θ/deg | d/Å | I/Imax |
| --- | --- | --- |
| 28.70 | 3.111 | 995 |
| 30.95 | 2.889 | 1000 |
| 32.22 | 2.779 | 131 |
| 37.18 | 2.418 | 128 |
| 37.36 | 2.407 | 176 |
| 42.83 | 2.111 | 212 |
| 47.42 | 1.917 | 130 |
| 52.32 | 1.749 | 224 |
| 56.42 | 1.631 | 206 |
| 79.44 | 1.206 | 128 |

Record 4
Theoretical PXRD pattern of In8Hg3Pb for copper Kα, from a PBE-relaxed structure.
No peak broadening, texture or thermal motion is included.

Structural model:
a = 10.051 Å, b = 10.026 Å, c = 8.357 Å
α = 90.00°, β = 121.12°, γ = 90.00°
Space group Cm (No. 8)
Unique sites:
1 In 0.000 0.000 0.000 (multiplicity 2)
2 In 0.003 0.257 0.518 (multiplicity 4)
3 In 0.221 0.243 0.004 (multiplicity 4)
4 In 0.223 0.500 0.522 (multiplicity 2)
5 In 0.234 0.000 0.518 (multiplicity 2)
6 In 0.489 0.000 0.005 (multiplicity 2)
7 Hg 0.361 0.000 0.261 (multiplicity 2)
8 Hg 0.362 0.250 0.761 (multiplicity 4)
9 Pb 0.361 0.500 0.261 (multiplicity 2)

Peak list (10 most intense, 10° ≤ 2θ ≤ 90°, low angle first)
| 2θ/deg | d/Å | I/Imax |
| --- | --- | --- |
| 20.65 | 4.302 | 257 |
| 21.65 | 4.105 | 674 |
| 22.67 | 3.922 | 434 |
| 34.38 | 2.609 | 1000 |
| 35.87 | 2.504 | 879 |
| 36.94 | 2.433 | 818 |
| 41.20 | 2.191 | 243 |
| 42.82 | 2.112 | 169 |
| 51.63 | 1.770 | 298 |
| 65.10 | 1.433 | 190 |

Record 5
Theoretical PXRD pattern of Tm2GaCo5Si2 for copper Kα, from a PBE-relaxed structure.
No peak broadening, texture or thermal motion is included.

Structural model:
a = 9.294 Å, b = 9.294 Å, c = 3.266 Å
α = 90.00°, β = 90.00°, γ = 90.00°
Space group P4/mbm (No. 127)
Unique sites:
1 Tm 0.177 0.323 0.000 (multiplicity 4)
2 Ga 0.000 0.000 0.000 (multiplicity 2)
3 Co 0.000 0.500 0.500 (multiplicity 2)
4 Co 0.065 0.786 0.500 (multiplicity 8)
5 Si 0.120 0.620 0.000 (multiplicity 4)

Peak list (10 most intense, 10° ≤ 2θ ≤ 90°, low angle first)
| 2θ/deg | d/Å | I/Imax |
| --- | --- | --- |
| 21.38 | 4.156 | 331 |
| 34.94 | 2.568 | 838 |
| 38.88 | 2.316 | 364 |
| 40.00 | 2.254 | 837 |
| 41.21 | 2.191 | 276 |
| 41.33 | 2.185 | 1000 |
| 43.55 | 2.078 | 190 |
| 44.79 | 2.023 | 272 |
| 56.34 | 1.633 | 216 |
| 71.32 | 1.322 | 292 |

Record 6
Theoretical PXRD pattern of ZrWAu2 for copper Kα, from a PBE-relaxed structure.
No peak broadening, texture or thermal motion is included.

Structural model:
a = 3.238 Å, b = 3.723 Å, c = 6.102 Å
α = 90.00°, β = 90.00°, γ = 90.00°
Space group Pmm2 (No. 25)
Unique sites:
1 Zr 0.000 0.000 0.000 (multiplicity 1)
2 W 0.500 0.500 0.736 (multiplicity 1)
3 Au 0.000 0.000 0.507 (multiplicity 1)
4 Au 0.500 0.500 0.256 (multiplicity 1)

Peak list (10 most intense, 10° ≤ 2θ ≤ 90°, low angle first)
| 2θ/deg | d/Å | I/Imax |
| --- | --- | --- |
| 14.52 | 6.102 | 155 |
| 36.79 | 2.443 | 1000 |
| 38.14 | 2.360 | 896 |
| 40.63 | 2.221 | 752 |
| 48.94 | 1.861 | 224 |
| 56.87 | 1.619 | 143 |
| 65.43 | 1.426 | 372 |
| 70.54 | 1.335 | 299 |
| 73.13 | 1.294 | 261 |
| 78.27 | 1.221 | 121 |

Please write out number 6 again, unchanged.
Theoretical PXRD pattern of ZrWAu2 for copper Kα, from a PBE-relaxed structure.
No peak broadening, texture or thermal motion is included.

Structural model:
a = 3.238 Å, b = 3.723 Å, c = 6.102 Å
α = 90.00°, β = 90.00°, γ = 90.00°
Space group Pmm2 (No. 25)
Unique sites:
1 Zr 0.000 0.000 0.000 (multiplicity 1)
2 W 0.500 0.500 0.736 (multiplicity 1)
3 Au 0.000 0.000 0.507 (multiplicity 1)
4 Au 0.500 0.500 0.256 (multiplicity 1)

Peak list (10 most intense, 10° ≤ 2θ ≤ 90°, low angle first)
| 2θ/deg | d/Å | I/Imax |
| --- | --- | --- |
| 14.52 | 6.102 | 155 |
| 36.79 | 2.443 | 1000 |
| 38.14 | 2.360 | 896 |
| 40.63 | 2.221 | 752 |
| 48.94 | 1.861 | 224 |
| 56.87 | 1.619 | 143 |
| 65.43 | 1.426 | 372 |
| 70.54 | 1.335 | 299 |
| 73.13 | 1.294 | 261 |
| 78.27 | 1.221 | 121 |